Diffraction record for Sr4CaMn2Ga2O10. The X-ray powder pattern is calculated, not measured: it uses a DFT-relaxed cell (GGA+U, the Materials Project) and Cu Kα (λ = 1.5418 Å).

abc: 9.3519 9.3519 5.8397
angles: 107.83 107.83 128.12
Fractional coordinates of all 19 atoms:
Sr: 0.0916 0.4000 0.4980
Sr: 0.4000 0.0916 0.4980
Sr: 0.6000 0.9084 0.5020
Sr: 0.9084 0.6000 0.5020
Ca: 0.0000 0.0000 0.5000
Mn: 0.0000 0.5000 0.0000
Mn: 0.5000 0.0000 0.0000
Ga: 0.3333 0.3333 0.1709
Ga: 0.6667 0.6667 0.8291
O: 0.1121 0.2932 0.9126
O: 0.2511 0.7489 0.0000
O: 0.2585 0.7415 0.5000
O: 0.2932 0.1121 0.9126
O: 0.3325 0.3325 0.5042
O: 0.6675 0.6675 0.4958
O: 0.7068 0.8879 0.0874
O: 0.7415 0.2585 0.5000
O: 0.7489 0.2511 0.0000
O: 0.8879 0.7068 0.0874

Peak list (6 most intense, 2θ from 5° to 70°, in order of falling intensity)
two_theta, intensity
30.61, 100.0
30.49, 96.6
38.70, 47.2
30.18, 43.2
44.28, 39.2
24.19, 31.6